# CdCoF5
Theoretical powder XRD pattern, Cu Kα (weighted mean of Kα1 and Kα2). Input: DFT lattice parameters and positions (GGA+U).
Kinematic intensities with the Lorentz-polarization factor, no thermal factor.

Largest 10 diffraction maxima, by intensity, 10° ≤ 2θ ≤ 90°:
d_spacing, 2θ (°), I/Imax
3.332, 26.8, 100.0
4.066, 21.9, 96.2
3.301, 27.0, 60.3
1.731, 52.9, 35.7
2.577, 34.8, 33.1
1.912, 47.6, 29.5
1.735, 52.7, 26.7
2.033, 44.6, 25.0
2.563, 35.0, 22.9
2.397, 37.5, 22.9

Atomic structure:
```
data_CdCoF5
_symmetry_space_group_name_H-M 'I m m m'
_symmetry_Int_Tables_number 71
_symmetry_space_group_name_Hall '-I 2 2'
_cell_length_a 3.860
_cell_length_b 6.603
_cell_length_c 8.132
_cell_angle_alpha 90.00
_cell_angle_beta 90.00
_cell_angle_gamma 90.00
loop_
_atom_site_label
_atom_site_type_symbol
_atom_site_fract_x
_atom_site_fract_y
_atom_site_fract_z
_atom_site_occupancy
Cd1 Cd 0.000 0.000 0.000 1
Co1 Co 0.000 0.000 0.500 1
F1 F 0.000 0.000 0.272 1
F2 F 0.000 0.300 0.500 1
F3 F 0.000 0.500 0.000 1
```